The following is a theoretical powder diffraction line list of Pm3SmPb2. It was derived from the GGA-PBE geometry in Alexandria, using Cu Kα (weighted mean of Kα1 and Kα2).
Neutral-atom scattering factors, no anomalous dispersion.

Structure:
```
data_Pm3SmPb2
_cell_length_a 4.653
_cell_length_b 4.653
_cell_length_c 8.878
_cell_angle_alpha 90.00
_cell_angle_beta 90.00
_cell_angle_gamma 90.00
_space_group_name_H-M_alt 'P -4 m 2'
_space_group_IT_number 115
loop_
_space_group_symop_operation_xyz
'x,y,z'
'y,-x,-z'
'-x,-y,z'
'-y,x,-z'
'-x,y,z'
'-y,-x,-z'
'x,-y,z'
'y,x,-z'
loop_
_atom_site_label
_atom_site_type_symbol
_atom_site_fract_x
_atom_site_fract_y
_atom_site_fract_z
Pm1 Pm 0.000 0.000 0.000
Pm2 Pm 0.000 0.500 0.653
Sm1 Sm 0.500 0.500 0.000
Pb1 Pb 0.000 0.500 0.284
```

Main lines, most intense first (2θ = 10–90°):
Position (°2θ), I (rel.), index
33.9, 100, 1 1 2
28.9, 77, 1 1 1
38.7, 59, 2 0 0
49.9, 39, 2 0 3
30.2, 39, 0 0 3
67.0, 28, 3 1 2
27.1, 25, 1 1 0
36.0, 23, 1 0 3
55.9, 20, 2 2 0
64.8, 18, 2 2 3
64.2, 16, 3 1 1
59.1, 16, 1 1 5

The following is a theoretical powder diffraction line list of La2PmNd4Tm. It was derived from the GGA-PBE geometry in Alexandria, using Cu Kα (weighted mean of Kα1 and Kα2).
Neutral-atom scattering factors, no anomalous dispersion.

Structure:
```
data_La2PmNd4Tm
_cell_length_a 5.172
_cell_length_b 5.186
_cell_length_c 10.436
_cell_angle_alpha 90.00
_cell_angle_beta 90.06
_cell_angle_gamma 90.00
_space_group_name_H-M_alt 'P 1 2/m 1'
_space_group_IT_number 10
loop_
_space_group_symop_operation_xyz
'x,y,z'
'-x,-y,-z'
'-x,y,-z'
'x,-y,z'
loop_
_atom_site_label
_atom_site_type_symbol
_atom_site_fract_x
_atom_site_fract_y
_atom_site_fract_z
La1 La 0.000 0.000 0.000
La2 La 0.500 0.500 0.500
Pm1 Pm 0.000 0.000 0.500
Nd1 Nd 0.001 0.500 0.753
Nd2 Nd 0.500 0.000 0.248
Tm1 Tm 0.500 0.500 0.000
```

Main lines, most intense first (2θ = 10–90°):
Position (°2θ), I (rel.), index
29.8, 100, 1 1 2
34.6, 34, 2 0 0
49.6, 18, 0 2 4
34.4, 17, 0 0 4
58.8, 15, 1 1 6
59.1, 14, 1 3 2
59.2, 14, 3 1 2
61.9, 12, 2 2 4
49.8, 12, 2 2 0
80.5, 9, 1 3 6
49.7, 6, 2 0 4
80.9, 6, 3 3 2

The following is a theoretical powder diffraction line list of Nb2SeCl8. It was derived from the GGA-PBE geometry in Alexandria, using Cu Kα (weighted mean of Kα1 and Kα2).
Neutral-atom scattering factors, no anomalous dispersion.

Structure:
```
data_Nb2SeCl8
_cell_length_a 8.349
_cell_length_b 11.861
_cell_length_c 8.064
_cell_angle_alpha 90.00
_cell_angle_beta 92.19
_cell_angle_gamma 90.00
_space_group_name_H-M_alt 'C 1 2/m 1'
_space_group_IT_number 12
loop_
_space_group_symop_operation_xyz
'x,y,z'
'-x,-y,-z'
'-x,y,-z'
'x,-y,z'
'x+1/2,y+1/2,z'
'-x+1/2,-y+1/2,-z'
'-x+1/2,y+1/2,-z'
'x+1/2,-y+1/2,z'
loop_
_atom_site_label
_atom_site_type_symbol
_atom_site_fract_x
_atom_site_fract_y
_atom_site_fract_z
Nb1 Nb 0.115 0.000 0.223
Se1 Se 0.000 0.000 0.500
Cl1 Cl 0.098 0.196 0.199
Cl2 Cl 0.116 0.500 0.710
Cl3 Cl 0.174 0.000 0.914
```

Main lines, most intense first (2θ = 10–90°):
Position (°2θ), I (rel.), index
13.0, 100, 1 1 0
14.9, 57, 0 2 0
35.5, 28, 1 1 -3
16.8, 28, 1 1 -1
35.4, 27, 3 1 1
17.3, 24, 1 1 1
30.1, 22, 0 4 0
24.4, 19, 2 0 1
22.1, 16, 0 0 2
39.5, 14, 1 5 0
39.2, 13, 2 0 -3
52.3, 12, 1 5 -3

The following is a theoretical powder diffraction line list of PrH6IrPd2. It was derived from the GGA-PBE geometry in Alexandria, using Cu Kα (weighted mean of Kα1 and Kα2).
Neutral-atom scattering factors, no anomalous dispersion.

Structure:
```
data_PrH6IrPd2
_cell_length_a 4.737
_cell_length_b 8.859
_cell_length_c 4.708
_cell_angle_alpha 90.00
_cell_angle_beta 90.00
_cell_angle_gamma 90.00
_space_group_name_H-M_alt 'P n n m'
_space_group_IT_number 58
loop_
_space_group_symop_operation_xyz
'x,y,z'
'-x,-y,-z'
'-x,-y,z'
'x,y,-z'
'x+1/2,-y+1/2,-z+1/2'
'-x+1/2,y+1/2,z+1/2'
'-x+1/2,y+1/2,-z+1/2'
'x+1/2,-y+1/2,z+1/2'
loop_
_atom_site_label
_atom_site_type_symbol
_atom_site_fract_x
_atom_site_fract_y
_atom_site_fract_z
Pr1 Pr 0.000 0.000 0.000
H1 H 0.124 0.363 0.240
H2 H 0.177 0.086 0.500
Ir1 Ir 0.000 0.500 0.000
Pd1 Pd 0.073 0.750 0.500
```

Main lines, most intense first (2θ = 10–90°):
Position (°2θ), I (rel.), index
33.6, 100, 1 2 1
38.2, 19, 0 0 2
40.7, 18, 0 4 0
66.2, 14, 1 2 3
38.0, 14, 2 0 0
69.6, 12, 1 6 1
57.1, 12, 0 4 2
55.0, 9, 2 0 2
70.6, 9, 2 4 2
56.9, 9, 2 4 0
65.8, 8, 3 2 1
26.7, 6, 1 0 1

The following is a theoretical powder diffraction line list of HgOsO6. It was derived from the GGA-PBE geometry in Alexandria, using Cu Kα (weighted mean of Kα1 and Kα2).
Neutral-atom scattering factors, no anomalous dispersion.

Structure:
```
data_HgOsO6
_cell_length_a 4.788
_cell_length_b 8.822
_cell_length_c 5.729
_cell_angle_alpha 90.00
_cell_angle_beta 103.99
_cell_angle_gamma 90.00
_space_group_name_H-M_alt 'C 1 2/m 1'
_space_group_IT_number 12
loop_
_space_group_symop_operation_xyz
'x,y,z'
'-x,-y,-z'
'-x,y,-z'
'x,-y,z'
'x+1/2,y+1/2,z'
'-x+1/2,-y+1/2,-z'
'-x+1/2,y+1/2,-z'
'x+1/2,-y+1/2,z'
loop_
_atom_site_label
_atom_site_type_symbol
_atom_site_fract_x
_atom_site_fract_y
_atom_site_fract_z
Hg1 Hg 0.000 0.000 0.000
Os1 Os 0.000 0.500 0.500
O1 O 0.122 0.000 0.598
O2 O 0.144 0.356 0.727
```

Main lines, most intense first (2θ = 10–90°):
Position (°2θ), I (rel.), index
24.0, 100, 1 1 -1
20.1, 82, 0 2 0
29.7, 48, 1 1 1
38.3, 34, 0 2 2
41.7, 28, 1 3 1
44.1, 21, 2 2 0
58.9, 20, 1 1 3
37.7, 19, 1 3 -1
32.2, 17, 0 0 2
49.2, 17, 2 2 -2
53.0, 16, 0 4 2
38.8, 13, 2 0 0

The following is a theoretical powder diffraction line list of RbNaMg6O7. It was derived from the GGA-PBE geometry in Alexandria, using Cu Kα (weighted mean of Kα1 and Kα2).
Neutral-atom scattering factors, no anomalous dispersion.

Structure:
```
data_RbNaMg6O7
_cell_length_a 4.593
_cell_length_b 4.593
_cell_length_c 8.559
_cell_angle_alpha 90.00
_cell_angle_beta 90.00
_cell_angle_gamma 90.00
_space_group_name_H-M_alt 'P 4 m m'
_space_group_IT_number 99
loop_
_space_group_symop_operation_xyz
'x,y,z'
'-y,x,z'
'-x,-y,z'
'y,-x,z'
'-x,y,z'
'y,x,z'
'x,-y,z'
'-y,-x,z'
loop_
_atom_site_label
_atom_site_type_symbol
_atom_site_fract_x
_atom_site_fract_y
_atom_site_fract_z
Rb1 Rb 0.000 0.000 0.000
Na1 Na 0.500 0.500 0.913
Mg1 Mg 0.000 0.000 0.444
Mg2 Mg 0.000 0.500 0.162
Mg3 Mg 0.000 0.500 0.693
Mg4 Mg 0.500 0.500 0.416
O1 O 0.000 0.000 0.665
O2 O 0.000 0.500 0.395
O3 O 0.000 0.500 0.926
O4 O 0.500 0.500 0.180
O5 O 0.500 0.500 0.648
```

Main lines, most intense first (2θ = 10–90°):
Position (°2θ), I (rel.), index
39.2, 100, 2 0 0
34.7, 42, 1 1 2
10.3, 31, 0 0 1
56.7, 30, 2 2 0
28.5, 27, 1 0 2
42.2, 23, 0 0 4
22.0, 22, 1 0 1
59.0, 21, 2 0 4
37.1, 15, 1 0 3
51.1, 14, 2 0 3
68.2, 14, 3 1 2
46.8, 13, 1 0 4